# PmSmZn4
Simulated PXRD pattern, Cu Kα. Input: a cell relaxed with PBE.
Lines closer than 0.1° are merged.

Peak list (10 most intense, 10 to 90 degrees two-theta, sorted by position)
2θ = 19.61°, rel. 6
2θ = 32.30°, rel. 55
2θ = 38.07°, rel. 100
2θ = 39.83°, rel. 19
2θ = 57.60°, rel. 21
2θ = 61.46°, rel. 32
2θ = 67.60°, rel. 24
2θ = 76.91°, rel. 9
2θ = 80.30°, rel. 11
2θ = 81.43°, rel. 6

Structure:
```
6
Lattice="0.000 3.920 3.920 3.920 0.000 3.920 3.920 3.920 0.000" Properties=species:S:1:pos:R:3 pbc="T T T"
Pm 0.000 0.000 0.000
Sm 1.960 1.960 1.960
Zn 4.899 2.940 2.940
Zn 2.940 4.899 2.940
Zn 2.940 2.940 4.899
Zn 4.899 4.899 4.899
```